# 1
This entry pairs a crystal structure of ScCuGeS3 with its calculated powder diffraction line list. Radiation: λ = 1.5418 Å (Cu Kα). Structure: a cell relaxed with PBE.
No peak broadening, texture or thermal motion is included.

Main lines, in order of rising 2θ (2θ from 10° to 90°):
d [Å]  Rel. int.
4.855  31
2.632  87
2.593  18
2.427  35
2.382  100
2.089  24
1.904  16
1.883  25
1.838  25
1.583  24

Atomic structure:
a b c (Å): 6.4048 6.4048 9.7092
angles (deg): 90.00 90.00 146.64
Positions (direct):
1 Sc 0.0000 0.0000 0.0000
2 Sc 0.0000 0.0000 0.5000
3 Cu 0.4721 0.5279 0.7500
4 Cu 0.5279 0.4721 0.2500
5 Ge 0.2378 0.7622 0.2500
6 Ge 0.7622 0.2378 0.7500
7 S 0.0897 0.9103 0.7500
8 S 0.3587 0.6413 0.5644
9 S 0.3587 0.6413 0.9356
10 S 0.6413 0.3587 0.0644
11 S 0.6413 0.3587 0.4356
12 S 0.9103 0.0897 0.2500

# 2
This entry pairs a crystal structure of Nd2GdCd4Hg2 with its calculated powder diffraction line list. Radiation: λ = 1.5418 Å (Cu Kα). Structure: a cell relaxed with PBE.
No peak broadening, texture or thermal motion is included.

Main lines, in order of rising 2θ (2θ from 10° to 90°):
d [Å]  Rel. int.
2.934  79
2.679  100
2.490  15
2.481  25
2.313  33
2.193  25
2.186  27
1.695  14
1.692  20
1.432  20

Atomic structure:
a b c (Å): 4.6263 7.5787 7.5787
angles (deg): 119.75 90.00 90.00
Positions (direct):
1 Nd 0.0000 0.2121 0.7879
2 Nd 0.0000 0.7879 0.2121
3 Gd 0.0000 0.3604 0.3604
4 Cd 0.0000 0.7813 0.7813
5 Cd 0.5000 0.0246 0.0246
6 Cd 0.5000 0.5464 0.7864
7 Cd 0.5000 0.7864 0.5464
8 Hg 0.5000 0.1237 0.4523
9 Hg 0.5000 0.4523 0.1237

# 3
This entry pairs a crystal structure of GaPt with its calculated powder diffraction line list. Radiation: λ = 1.5418 Å (Cu Kα). Structure: a cell relaxed with PBE.
No peak broadening, texture or thermal motion is included.

Main lines, in order of rising 2θ (2θ from 10° to 90°):
d [Å]  Rel. int.
3.512  24
2.868  17
2.483  10
2.221  100
2.028  47
1.656  8
1.498  11
1.378  8
1.327  33
1.139  10

Atomic structure:
a b c (Å): 4.9667 4.9667 4.9667
angles (deg): 90.00 90.00 90.00
Positions (direct):
1 Ga 0.1577 0.3423 0.6577
2 Ga 0.3423 0.6577 0.1577
3 Ga 0.6577 0.1577 0.3423
4 Ga 0.8423 0.8423 0.8423
5 Pt 0.1478 0.1478 0.1478
6 Pt 0.3522 0.8522 0.6478
7 Pt 0.6478 0.3522 0.8522
8 Pt 0.8522 0.6478 0.3522